Diffraction record for UNiSe3. The powder X-ray diffraction pattern is simulated, not measured: it uses the GGA-PBE geometry in the Materials Project and Cu Ka.
Peak positions follow from Bragg's law for the DFT cell and can differ from measured ones.

Crystal structure
```
data_UNiSe3
_chemical_formula_sum 'U4 Ni4 Se12'
_symmetry_space_group_name_H-M 'P 1'
_symmetry_Int_Tables_number 1
_cell_length_a 7.3873
_cell_length_b 8.8402
_cell_length_c 6.2551
_cell_angle_alpha 90.00
_cell_angle_beta 90.00
_cell_angle_gamma 90.00
loop_
_symmetry_equiv_pos_as_xyz
'x,y,z'
loop_
_atom_site_label
_atom_site_type_symbol
_atom_site_fract_x
_atom_site_fract_y
_atom_site_fract_z
U1 U 0.1309 0.2500 0.0665
U2 U 0.3691 0.7500 0.5665
U3 U 0.6309 0.2500 0.4335
U4 U 0.8691 0.7500 0.9335
Ni1 Ni 0.0000 0.0000 0.5000
Ni2 Ni 0.0000 0.5000 0.5000
Ni3 Ni 0.5000 0.0000 0.0000
Ni4 Ni 0.5000 0.5000 0.0000
Se1 Se 0.0385 0.7500 0.3507
Se2 Se 0.1721 0.5513 0.8341
Se3 Se 0.1721 0.9487 0.8341
Se4 Se 0.3279 0.0513 0.3341
Se5 Se 0.3279 0.4487 0.3341
Se6 Se 0.4615 0.2500 0.8507
Se7 Se 0.5385 0.7500 0.1493
Se8 Se 0.6721 0.5513 0.6659
Se9 Se 0.6721 0.9487 0.6659
Se10 Se 0.8279 0.0513 0.1659
Se11 Se 0.8279 0.4487 0.1659
Se12 Se 0.9615 0.2500 0.6493
```

Main lines, sorted by position (15 to 90 degrees two-theta):
| index | d [Å] | I_rel |
| --- | --- | --- |
| 1 1 1 | 4.200 | 100 |
| 1 1 2 | 2.738 | 77 |
| 2 2 1 | 2.582 | 68 |
| 1 3 1 | 2.507 | 68 |
| 2 3 0 | 2.304 | 85 |
| 3 0 1 | 2.291 | 62 |